Structure and simulated powder diffractogram of K2CuCl2F2 (a GGA-PBE-relaxed structure; Cu Kα, 1.54184 Å).
Lines closer than 0.1° are merged.

Crystal structure
abc: 8.081 8.081 6.323
angles: 90.00 90.00 46.04
Sites, in units of the cell vectors:
1 K 0.123 0.123 0.000
2 K 0.377 0.377 0.500
3 K 0.623 0.623 0.500
4 K 0.877 0.877 0.000
5 Cu 0.000 0.000 0.500
6 Cu 0.500 0.500 0.000
7 Cl 0.157 0.157 0.500
8 Cl 0.343 0.343 0.000
9 Cl 0.657 0.657 0.000
10 Cl 0.843 0.843 0.500
11 F 0.216 0.784 0.716
12 F 0.284 0.716 0.216
13 F 0.716 0.284 0.784
14 F 0.784 0.216 0.284

Main lines, by angle (2θ from 10° to 90°):
2θ (°)	I/Imax
11.90	74
20.75	34
26.86	19
28.24	100
36.26	82
37.34	24
40.36	66
55.36	48
58.40	18
66.11	16